# 1
This entry pairs a crystal structure of Tl3Cu3Bi2S8 with its calculated powder XRD pattern. Radiation: copper Kα. Structure: a PBE-relaxed structure.
No peak broadening, texture or thermal motion is included.

Atomic structure:
```
Tl3Cu3Bi2S8
1.0
8.9729 -3.2646 0.0000
8.9729 3.2646 0.0000
-2.5615 0.0000 6.5511
Tl Cu Bi S
3 3 2 8
Direct
0.0000 0.0000 0.0000 Tl
0.3584 0.3351 0.8456 Tl
0.6649 0.6416 0.1544 Tl
0.1317 0.1008 0.6239 Cu
0.5083 0.4917 0.5000 Cu
0.8992 0.8683 0.3761 Cu
0.3118 0.2843 0.2981 Bi
0.7157 0.6882 0.7019 Bi
0.0055 0.6386 0.5717 S
0.0252 0.3336 0.9310 S
0.2238 0.6240 0.2400 S
0.3614 0.9945 0.4283 S
0.3760 0.7762 0.7600 S
0.6482 0.1888 0.5884 S
0.6664 0.9748 0.0690 S
0.8112 0.3518 0.4116 S
```

The 10 most intense peaks (5° ≤ 2θ ≤ 70°), in order of rising 2θ:
2theta, I/Imax
20.96, 100.0
25.33, 67.2
27.32, 60.3
28.07, 79.7
28.65, 79.3
32.73, 48.4
33.49, 47.2
37.60, 90.7
40.24, 26.8
48.73, 31.6


# 2
This entry pairs a crystal structure of Cu2BiSb with its calculated powder XRD pattern. Radiation: copper Kα. Structure: a PBE-relaxed structure.
No peak broadening, texture or thermal motion is included.

Atomic structure:
```
Cu2BiSb
1.0
6.8810 0.0000 0.0000
0.0000 6.8810 0.0000
0.0000 0.0000 6.8810
Cu Bi Sb
8 4 4
Direct
0.2307 0.2307 0.2307 Cu
0.2307 0.2307 0.7693 Cu
0.2307 0.7693 0.2307 Cu
0.2307 0.7693 0.7693 Cu
0.7693 0.2307 0.2307 Cu
0.7693 0.2307 0.7693 Cu
0.7693 0.7693 0.2307 Cu
0.7693 0.7693 0.7693 Cu
0.0000 0.5000 0.5000 Bi
0.5000 0.0000 0.5000 Bi
0.5000 0.5000 0.0000 Bi
0.5000 0.5000 0.5000 Bi
0.0000 0.0000 0.0000 Sb
0.0000 0.0000 0.5000 Sb
0.0000 0.5000 0.0000 Sb
0.5000 0.0000 0.0000 Sb
```

The 10 most intense peaks (5° ≤ 2θ ≤ 70°), in order of rising 2θ:
2theta, I/Imax
22.38, 2.0
25.90, 21.8
29.02, 6.2
36.95, 100.0
39.28, 2.3
45.67, 7.2
53.25, 16.7
55.02, 2.7
60.14, 10.8
66.58, 32.8


# 3
This entry pairs a crystal structure of ScCuBiSe3 with its calculated powder XRD pattern. Radiation: copper Kα. Structure: a PBE-relaxed structure.
No peak broadening, texture or thermal motion is included.

Atomic structure:
```
ScCuBiSe3
1.0
1.9783 -6.6766 0.0000
1.9783 6.6766 0.0000
0.0000 0.0000 10.0557
Sc Cu Bi Se
2 2 2 6
Direct
0.0000 0.0000 0.0000 Sc
0.0000 0.0000 0.5000 Sc
0.4670 0.5330 0.7500 Cu
0.5330 0.4670 0.2500 Cu
0.2136 0.7864 0.2500 Bi
0.7864 0.2136 0.7500 Bi
0.0817 0.9183 0.7500 Se
0.3587 0.6413 0.5427 Se
0.3587 0.6413 0.9573 Se
0.6413 0.3587 0.0427 Se
0.6413 0.3587 0.4573 Se
0.9183 0.0817 0.2500 Se
```

The 10 most intense peaks (5° ≤ 2θ ≤ 70°), in order of rising 2θ:
2theta, I/Imax
17.64, 31.2
25.09, 24.4
28.17, 28.9
31.54, 97.5
32.19, 24.2
35.21, 100.0
35.73, 88.1
40.70, 36.4
45.87, 29.9
55.25, 32.6